The following is a computed X-ray powder pattern of Ac3Cu2Ge2. It was derived from DFT lattice parameters and positions (PBE), using a wavelength of 1.5418 Å.
Peak positions follow from Bragg's law for the DFT cell and can differ from measured ones.

Structure:
```
data_Ac3Cu2Ge2
_space_group_name_H-M_alt 'I m m m'
_space_group_IT_number 71
_space_group_name_Hall '-I 2 2'
_cell_length_a 4.397
_cell_length_b 4.473
_cell_length_c 19.157
_cell_angle_alpha 90.00
_cell_angle_beta 90.00
_cell_angle_gamma 90.00
loop_
_atom_site_label
_atom_site_type_symbol
_atom_site_fract_x
_atom_site_fract_y
_atom_site_fract_z
Ac1 Ac 0.000 0.000 0.000
Ac2 Ac 0.000 0.500 0.316
Cu1 Cu 0.000 0.000 0.434
Ge1 Ge 0.000 0.500 0.136
```

Principal peaks in the range 2θ from 15° to 90°, in order of falling intensity:
- hkl 1 1 2, 2θ 29.98, I 100
- hkl 0 1 5, 2θ 30.73, I 64
- hkl 1 0 3, 2θ 24.58, I 44
- hkl 0 2 0, 2θ 40.32, I 36
- hkl 2 1 5, 2θ 52.14, I 30
- hkl 1 1 4, 2θ 34.18, I 28
- hkl 1 2 3, 2θ 47.80, I 27
- hkl 2 0 0, 2θ 41.06, I 24

***

The following is a computed X-ray powder pattern of CeZn5CdPd2. It was derived from DFT lattice parameters and positions (PBE), using a wavelength of 1.5418 Å.
Peak positions follow from Bragg's law for the DFT cell and can differ from measured ones.

Structure:
```
data_CeZn5CdPd2
_space_group_name_H-M_alt 'P 4/m m m'
_space_group_IT_number 123
_space_group_name_Hall '-P 4 2'
_cell_length_a 4.840
_cell_length_b 4.840
_cell_length_c 7.508
_cell_angle_alpha 90.00
_cell_angle_beta 90.00
_cell_angle_gamma 90.00
loop_
_atom_site_label
_atom_site_type_symbol
_atom_site_fract_x
_atom_site_fract_y
_atom_site_fract_z
Ce1 Ce 0.000 0.000 0.000
Zn1 Zn 0.000 0.500 0.273
Zn2 Zn 0.500 0.500 0.000
Cd1 Cd 0.000 0.000 0.500
Pd1 Pd 0.500 0.500 0.324
```

Principal peaks in the range 2θ from 15° to 90°, in order of falling intensity:
- hkl 2 0 0, 2θ 37.15, I 100
- hkl 1 1 2, 2θ 35.49, I 73
- hkl 1 0 2, 2θ 30.13, I 50
- hkl 0 0 4, 2θ 48.54, I 35
- hkl 2 2 0, 2θ 53.55, I 34
- hkl 3 1 2, 2θ 65.89, I 29
- hkl 1 1 0, 2θ 26.03, I 25
- hkl 2 0 4, 2θ 62.65, I 21